Record 1
The following is a simulated powder XRD pattern of Cs2NbOsO6. It was derived from a DFT-relaxed cell (PBE, Alexandria), using Cu Kα.

Structural model:
Cell lengths 7.1695, 7.1695, 7.1695 Å; angles 134.68, 134.68, 66.03 degrees
Atoms (fractional coordinates):
Cs 0.0000 0.5000 0.5000
Cs 0.5000 0.0000 0.5000
Nb 0.2459 0.2459 0.0000
Os 0.7612 0.7612 0.0000
O 0.0344 0.0344 0.4984
O 0.0344 0.5360 0.0000
O 0.0957 0.0957 0.0000
O 0.5360 0.0344 0.0000
O 0.5360 0.5360 0.5016
O 0.6089 0.6089 0.0000

Peak list (6 most intense, 2θ = 10–90°, by angle)
2θ = 27.23°, I 100
2θ = 29.72°, I 22
2θ = 32.41°, I 29
2θ = 44.55°, I 20
2θ = 51.24°, I 19
2θ = 54.72°, I 29



Record 2
The following is a simulated powder XRD pattern of CsNbP2O8. It was derived from a DFT-relaxed cell (PBE, Alexandria), using Cu Kα.

Structural model:
Cell lengths 4.9950, 9.0441, 19.0603 Å; angles 90.00, 99.39, 90.00 degrees
Atoms (fractional coordinates):
Cs 0.1682 0.2102 0.4404
Cs 0.1682 0.2898 0.9404
Cs 0.8318 0.7102 0.0596
Cs 0.8318 0.7898 0.5596
Nb 0.3405 0.0565 0.1684
Nb 0.3405 0.4435 0.6684
Nb 0.6595 0.5565 0.3316
Nb 0.6595 0.9435 0.8316
P 0.1285 0.1195 0.7425
P 0.1285 0.3805 0.2425
P 0.1871 0.7157 0.8919
P 0.1871 0.7843 0.3919
P 0.8129 0.2157 0.6081
P 0.8129 0.2843 0.1081
P 0.8715 0.6195 0.7575
P 0.8715 0.8805 0.2575
O 0.0228 0.1590 0.1041
O 0.0228 0.3410 0.6041
O 0.0312 0.5911 0.8373
O 0.0312 0.9089 0.3373
O 0.0685 0.5815 0.7059
O 0.0685 0.9185 0.2059
O 0.2193 0.2212 0.2496
O 0.2193 0.2788 0.7496
O 0.2759 0.6384 0.9608
O 0.2759 0.8616 0.4608
O 0.3624 0.0058 0.7499
O 0.3624 0.4942 0.2499
O 0.4113 0.5682 0.6032
O 0.4113 0.9318 0.1032
O 0.4172 0.7251 0.3543
O 0.4172 0.7749 0.8543
O 0.5828 0.2251 0.1457
O 0.5828 0.2749 0.6457
O 0.5887 0.0682 0.8968
O 0.5887 0.4318 0.3968
O 0.6376 0.5058 0.7501
O 0.6376 0.9942 0.2501
O 0.7241 0.1384 0.5392
O 0.7241 0.3616 0.0392
O 0.7807 0.7212 0.2504
O 0.7807 0.7788 0.7504
O 0.9315 0.0815 0.7941
O 0.9315 0.4185 0.2941
O 0.9688 0.0911 0.6627
O 0.9688 0.4089 0.1627
O 0.9772 0.6590 0.3959
O 0.9772 0.8410 0.8959

Peak list (6 most intense, 2θ = 10–90°, by angle)
2θ = 17.21°, I 99
2θ = 21.31°, I 100
2θ = 21.72°, I 73
2θ = 21.81°, I 82
2θ = 28.29°, I 67
2θ = 29.41°, I 71



Record 3
The following is a simulated powder XRD pattern of CsPr2Ti2NbO10. It was derived from a DFT-relaxed cell (PBE, Alexandria), using Cu Kα.

Structural model:
Cell lengths 3.8918, 3.8918, 15.6908 Å; angles 90.19, 90.19, 89.81 degrees
Atoms (fractional coordinates):
Cs 0.0000 0.0000 0.0000
Pr 0.9789 0.9789 0.3857
Pr 0.9879 0.9879 0.6663
Ti 0.4956 0.4956 0.5142
Ti 0.4967 0.4967 0.7953
Nb 0.5011 0.5011 0.2344
O 0.0057 0.5094 0.2670
O 0.0105 0.5205 0.5043
O 0.4950 0.9979 0.7600
O 0.4991 0.4991 0.9038
O 0.5012 0.5012 0.1202
O 0.5094 0.0057 0.2670
O 0.5113 0.5113 0.6334
O 0.5197 0.5197 0.3857
O 0.5205 0.0105 0.5043
O 0.9979 0.4950 0.7600

Peak list (6 most intense, 2θ = 10–90°, by angle)
2θ = 16.95°, I 17
2θ = 28.59°, I 100
2θ = 32.48°, I 32
2θ = 32.59°, I 24
2θ = 46.68°, I 33
2θ = 55.70°, I 24



Record 4
The following is a simulated powder XRD pattern of Cs2RbNb2O7. It was derived from a DFT-relaxed cell (PBE, Alexandria), using Cu Kα.

Structural model:
Cell lengths 4.1910, 4.1910, 12.4222 Å; angles 99.49, 99.49, 89.67 degrees
Atoms (fractional coordinates):
Cs 0.1916 0.1916 0.3764
Cs 0.8084 0.8084 0.6236
Rb 0.0000 0.0000 0.0000
Nb 0.3835 0.3835 0.8240
Nb 0.6165 0.6165 0.1760
O 0.0722 0.5813 0.1706
O 0.3457 0.3457 0.6684
O 0.4187 0.9278 0.8294
O 0.5000 0.5000 0.0000
O 0.5813 0.0722 0.1706
O 0.6543 0.6543 0.3316
O 0.9278 0.4187 0.8294

Peak list (6 most intense, 2θ = 10–90°, by angle)
2θ = 28.11°, I 100
2θ = 28.26°, I 85
2θ = 30.07°, I 46
2θ = 30.25°, I 47
2θ = 43.17°, I 52
2θ = 52.41°, I 29



Record 5
The following is a simulated powder XRD pattern of Cs4Nb2Si8O23. It was derived from a DFT-relaxed cell (PBE, Alexandria), using Cu Kα.

Structural model:
Cell lengths 7.1118, 8.0587, 11.2632 Å; angles 76.84, 89.77, 71.75 degrees
Atoms (fractional coordinates):
Cs 0.1744 0.2842 0.3641
Cs 0.2076 0.2184 0.0141
Cs 0.7924 0.7816 0.9859
Cs 0.8256 0.7158 0.6359
Nb 0.2955 0.7397 0.8115
Nb 0.7045 0.2603 0.1885
Si 0.0040 0.8162 0.2934
Si 0.3425 0.6739 0.1304
Si 0.3519 0.7025 0.4965
Si 0.4351 0.1363 0.7145
Si 0.5649 0.8637 0.2855
Si 0.6481 0.2975 0.5035
Si 0.6575 0.3261 0.8696
Si 0.9960 0.1838 0.7066
O 0.0498 0.9695 0.7564
O 0.1270 0.7104 0.1940
O 0.1368 0.7335 0.4256
O 0.1391 0.6012 0.8464
O 0.1945 0.2475 0.6822
O 0.3075 0.7747 0.9864
O 0.3166 0.7365 0.6303
O 0.4391 0.4569 0.1542
O 0.4561 0.8434 0.4158
O 0.4722 0.9290 0.7770
O 0.4801 0.7618 0.1977
O 0.5000 0.5000 0.5000
O 0.5199 0.2382 0.8023
O 0.5278 0.0710 0.2230
O 0.5439 0.1566 0.5842
O 0.5609 0.5431 0.8458
O 0.6834 0.2635 0.3697
O 0.6925 0.2253 0.0136
O 0.8055 0.7525 0.3178
O 0.8609 0.3988 0.1536
O 0.8632 0.2665 0.5744
O 0.8730 0.2896 0.8060
O 0.9502 0.0305 0.2436

Peak list (6 most intense, 2θ = 10–90°, by angle)
2θ = 23.95°, I 80
2θ = 26.90°, I 100
2θ = 29.55°, I 34
2θ = 29.69°, I 18
2θ = 30.18°, I 34
2θ = 34.95°, I 23



Record 6
The following is a simulated powder XRD pattern of CsSm2Ti2NbO10. It was derived from a DFT-relaxed cell (PBE, Alexandria), using Cu Kα.

Structural model:
Cell lengths 3.8821, 3.8821, 15.6245 Å; angles 90.46, 90.46, 89.44 degrees
Atoms (fractional coordinates):
Cs 0.0000 0.0000 0.0000
Sm 0.9633 0.9633 0.3850
Sm 0.9710 0.9710 0.6669
Ti 0.4919 0.4919 0.7922
Ti 0.5011 0.5011 0.5127
Nb 0.5037 0.5037 0.2339
O 0.0127 0.5238 0.2669
O 0.0217 0.5426 0.5024
O 0.4876 0.9942 0.7564
O 0.4975 0.4975 0.9012
O 0.5018 0.5018 0.1190
O 0.5238 0.0127 0.2669
O 0.5241 0.5241 0.6321
O 0.5332 0.5332 0.3844
O 0.5426 0.0217 0.5024
O 0.9942 0.4876 0.7564

Peak list (6 most intense, 2θ = 10–90°, by angle)
2θ = 17.03°, I 36
2θ = 28.57°, I 100
2θ = 28.79°, I 93
2θ = 32.44°, I 62
2θ = 32.79°, I 44
2θ = 46.80°, I 60



Record 7
The following is a simulated powder XRD pattern of CsNb2Tl2O7. It was derived from a DFT-relaxed cell (PBE, Alexandria), using Cu Kα.

Structural model:
Cell lengths 9.6600, 9.6600, 9.6600 Å; angles 38.03, 38.03, 38.03 degrees
Atoms (fractional coordinates):
Cs 0.0000 0.0000 0.0000
Nb 0.4275 0.4275 0.4275
Nb 0.5725 0.5725 0.5725
Tl 0.2173 0.2173 0.2173
Tl 0.7827 0.7827 0.7827
O 0.0998 0.4679 0.6481
O 0.3519 0.5321 0.9002
O 0.4679 0.6481 0.0998
O 0.5000 0.5000 0.5000
O 0.5321 0.9002 0.3519
O 0.6481 0.0998 0.4679
O 0.9002 0.3519 0.5321

Peak list (6 most intense, 2θ = 10–90°, by angle)
2θ = 20.99°, I 47
2θ = 23.25°, I 100
2θ = 28.35°, I 83
2θ = 36.98°, I 24
2θ = 41.71°, I 47
2θ = 47.24°, I 27